# 1
This entry pairs a crystal structure of NaMgTi2BiO6 with its simulated PXRD pattern. Radiation: Cu Kα X-rays. Structure: the PBE geometry in the Materials Project.
Kinematic intensities with the Lorentz-polarization factor, no thermal factor.

Top 12 peaks for 2θ = 15–90°, low angle first:
| 2θ (°) | d/Å | Rel. int. |
| --- | --- | --- |
| 17.06 | 5.199 | 579 |
| 20.09 | 4.420 | 905 |
| 22.41 | 3.968 | 373 |
| 30.02 | 2.977 | 934 |
| 33.68 | 2.661 | 1000 |
| 34.73 | 2.583 | 690 |
| 37.99 | 2.369 | 587 |
| 45.73 | 1.984 | 480 |
| 49.15 | 1.854 | 330 |
| 57.98 | 1.591 | 318 |
| 60.23 | 1.536 | 283 |
| 60.91 | 1.521 | 274 |

Atomic structure:
```
data_NaMgTi2BiO6
_symmetry_space_group_name_H-M 'R 3'
_symmetry_Int_Tables_number 146
_symmetry_space_group_name_Hall 'R 3'
_cell_length_a 5.3222
_cell_length_b 5.3222
_cell_length_c 15.5962
_cell_angle_alpha 90.00
_cell_angle_beta 90.00
_cell_angle_gamma 120.00
loop_
_atom_site_label
_atom_site_type_symbol
_atom_site_fract_x
_atom_site_fract_y
_atom_site_fract_z
_atom_site_occupancy
Na1 Na 0.0000 0.0000 0.0000 1
Mg1 Mg 0.0000 0.0000 0.1552 1
Ti1 Ti 0.0000 0.0000 0.3403 1
Ti2 Ti 0.0000 0.0000 0.8181 1
Bi1 Bi 0.0000 0.0000 0.5747 1
O1 O 0.0088 0.6368 0.0824 1
O2 O 0.1142 0.3396 0.9051 1
```



# 2
This entry pairs a crystal structure of NaMgTi2BiO6 with its simulated PXRD pattern. Radiation: Cu Kα X-rays. Structure: the PBE geometry in the Materials Project.
Kinematic intensities with the Lorentz-polarization factor, no thermal factor.

Top 12 peaks for 2θ = 15–90°, low angle first:
| 2θ (°) | d/Å | Rel. int. |
| --- | --- | --- |
| 16.68 | 5.316 | 368 |
| 19.28 | 4.604 | 1000 |
| 21.58 | 4.118 | 564 |
| 29.09 | 3.069 | 402 |
| 32.24 | 2.776 | 850 |
| 33.72 | 2.658 | 710 |
| 36.51 | 2.461 | 402 |
| 39.13 | 2.302 | 220 |
| 43.98 | 2.059 | 254 |
| 47.35 | 1.920 | 843 |
| 58.44 | 1.579 | 254 |
| 67.47 | 1.388 | 250 |

Atomic structure:
```
data_NaMgTi2BiO6
_symmetry_space_group_name_H-M 'R 3'
_symmetry_Int_Tables_number 146
_symmetry_space_group_name_Hall 'R 3'
_cell_length_a 5.5529
_cell_length_b 5.5529
_cell_length_c 15.9477
_cell_angle_alpha 90.00
_cell_angle_beta 90.00
_cell_angle_gamma 120.00
loop_
_atom_site_label
_atom_site_type_symbol
_atom_site_fract_x
_atom_site_fract_y
_atom_site_fract_z
_atom_site_occupancy
Na1 Na 0.0000 0.0000 0.0000 1
Mg1 Mg 0.0000 0.0000 0.3743 1
Ti1 Ti 0.0000 0.0000 0.2022 1
Ti2 Ti 0.0000 0.0000 0.7428 1
Bi1 Bi 0.0000 0.0000 0.5502 1
O1 O 0.1031 0.7653 0.3101 1
O2 O 0.1090 0.3368 0.8051 1
```



# 3
This entry pairs a crystal structure of Mg14NbBi with its simulated PXRD pattern. Radiation: Cu Kα X-rays. Structure: the PBE geometry in the Materials Project.
Kinematic intensities with the Lorentz-polarization factor, no thermal factor.

Top 12 peaks for 2θ = 15–90°, low angle first:
| 2θ (°) | d/Å | Rel. int. |
| --- | --- | --- |
| 16.08 | 5.512 | 707 |
| 17.17 | 5.164 | 200 |
| 23.61 | 3.768 | 556 |
| 32.49 | 2.756 | 324 |
| 33.06 | 2.709 | 246 |
| 34.75 | 2.582 | 249 |
| 36.97 | 2.431 | 1000 |
| 38.51 | 2.338 | 197 |
| 47.03 | 1.932 | 216 |
| 48.30 | 1.884 | 213 |
| 63.75 | 1.460 | 192 |
| 69.38 | 1.355 | 190 |

Atomic structure:
```
data_Mg14NbBi
_symmetry_space_group_name_H-M 'P -6 m 2'
_symmetry_Int_Tables_number 187
_symmetry_space_group_name_Hall 'P -6 2'
_cell_length_a 6.3648
_cell_length_b 6.3648
_cell_length_c 10.3274
_cell_angle_alpha 90.00
_cell_angle_beta 90.00
_cell_angle_gamma 120.00
loop_
_atom_site_label
_atom_site_type_symbol
_atom_site_fract_x
_atom_site_fract_y
_atom_site_fract_z
_atom_site_occupancy
Mg1 Mg 0.0000 0.0000 0.2463 1
Mg2 Mg 0.0062 0.5031 0.2398 1
Mg3 Mg 0.3319 0.1659 0.5000 1
Mg4 Mg 0.3345 0.1672 0.0000 1
Nb1 Nb 0.3333 0.6667 0.0000 1
Bi1 Bi 0.3333 0.6667 0.5000 1
```



# 4
This entry pairs a crystal structure of Mg14NbBi with its simulated PXRD pattern. Radiation: Cu Kα X-rays. Structure: the PBE geometry in the Materials Project.
Kinematic intensities with the Lorentz-polarization factor, no thermal factor.

Top 12 peaks for 2θ = 15–90°, low angle first:
| 2θ (°) | d/Å | Rel. int. |
| --- | --- | --- |
| 16.02 | 5.533 | 354 |
| 17.19 | 5.157 | 301 |
| 18.19 | 4.876 | 531 |
| 23.61 | 3.768 | 407 |
| 30.63 | 2.918 | 215 |
| 32.63 | 2.744 | 330 |
| 33.80 | 2.652 | 237 |
| 34.79 | 2.579 | 383 |
| 36.87 | 2.438 | 518 |
| 37.11 | 2.423 | 1000 |
| 48.44 | 1.879 | 217 |
| 63.89 | 1.457 | 236 |

Atomic structure:
```
data_Mg14NbBi
_symmetry_space_group_name_H-M 'A m m 2'
_symmetry_Int_Tables_number 38
_cell_length_a 10.3150
_cell_length_b 6.3203
_cell_length_c 11.0660
_cell_angle_alpha 90.00
_cell_angle_beta 90.00
_cell_angle_gamma 90.00
loop_
_symmetry_equiv_pos_as_xyz
'x,y,z'
'-x,-y,z'
'-x,y,z'
'x,-y,z'
'x,y+1/2,z+1/2'
'-x,-y+1/2,z+1/2'
'-x,y+1/2,z+1/2'
'x,-y+1/2,z+1/2'
loop_
_atom_site_label
_atom_site_type_symbol
_atom_site_fract_x
_atom_site_fract_y
_atom_site_fract_z
_atom_site_occupancy
Mg1 Mg 0.0000 0.0000 0.0000 1
Mg2 Mg 0.0000 0.0000 0.4995 1
Mg3 Mg 0.0000 0.2492 0.2500 1
Mg4 Mg 0.2449 0.0000 0.6689 1
Mg5 Mg 0.2501 0.2429 0.9167 1
Mg6 Mg 0.2533 0.0000 0.1629 1
Mg7 Mg 0.5000 0.2486 0.2493 1
Nb1 Nb 0.5000 0.0000 0.9973 1
Bi1 Bi 0.5000 0.0000 0.5031 1
```